# PrB2C2
Theoretical XRD peak list, Cu Ka. Input: a cell relaxed with GGA-PBE.

Crystal structure
a b c (Å): 5.404 5.404 3.883
angles (deg): 90.00 90.00 90.00
Space group P4/mbm (No. 127)
Unique sites:
Pr 0.000 0.000 0.000 [2 per cell]
B 0.138 0.362 0.500 [4 per cell]
C 0.160 0.660 0.500 [4 per cell]

Largest 10 diffraction maxima, sorted by position, 10° ≤ 2θ ≤ 80°:
hkl 0 0 1, 3.883 Å, 22.9 deg, intensity 24.9
hkl 1 1 0, 3.821 Å, 23.3 deg, intensity 80.8
hkl 1 1 1, 2.724 Å, 32.9 deg, intensity 100.0
hkl 2 0 0, 2.702 Å, 33.2 deg, intensity 34.2
hkl 2 0 1, 2.218 Å, 40.7 deg, intensity 54.2
hkl 1 1 2, 1.731 Å, 52.9 deg, intensity 18.7
hkl 2 2 1, 1.714 Å, 53.4 deg, intensity 20.0
hkl 3 1 0, 1.709 Å, 53.6 deg, intensity 26.0
hkl 3 1 1, 1.564 Å, 59.1 deg, intensity 24.6
hkl 3 1 2, 1.283 Å, 73.9 deg, intensity 19.6

=====

# Sr2SnH18Se4O12
Theoretical XRD peak list, Cu Ka. Input: a cell relaxed with GGA-PBE.

Crystal structure
a b c (Å): 5.992 8.512 9.710
angles (deg): 97.09 103.84 110.40
Space group P-1 (No. 2)
Unique sites:
Sr 0.166 0.299 0.038 [2 per cell]
Sn 0.500 0.000 0.000 [1 per cell]
H 0.183 0.770 0.757 [2 per cell]
H 0.186 0.631 0.242 [2 per cell]
H 0.240 0.349 0.389 [2 per cell]
H 0.274 0.439 0.763 [2 per cell]
H 0.280 0.599 0.865 [2 per cell]
H 0.286 0.097 0.777 [2 per cell]
H 0.296 0.016 0.211 [2 per cell]
H 0.357 0.698 0.142 [2 per cell]
H 0.496 0.343 0.380 [2 per cell]
Se 0.100 0.690 0.481 [2 per cell]
Se 0.285 0.987 0.485 [2 per cell]
O 0.188 0.615 0.140 [2 per cell]
O 0.214 0.773 0.862 [2 per cell]
O 0.240 0.010 0.105 [2 per cell]
O 0.344 0.504 0.865 [2 per cell]
O 0.346 0.357 0.324 [2 per cell]
O 0.384 0.160 0.878 [2 per cell]

Largest 10 diffraction maxima, sorted by position, 10° ≤ 2θ ≤ 80°:
hkl 0 1 0, 7.769 Å, 11.4 deg, intensity 19.3
hkl 1 -1 0, 5.537 Å, 16.0 deg, intensity 18.5
hkl 0 0 2, 4.591 Å, 19.3 deg, intensity 100.0
hkl 0 1 -2, 4.416 Å, 20.1 deg, intensity 22.9
hkl 1 -2 0, 3.970 Å, 22.4 deg, intensity 47.4
hkl -1 1 2, 3.832 Å, 23.2 deg, intensity 20.3
hkl -2 1 1, 2.989 Å, 29.9 deg, intensity 48.9
hkl 0 3 0, 2.591 Å, 34.6 deg, intensity 48.5
hkl -2 1 3, 2.423 Å, 37.1 deg, intensity 20.6
hkl 0 3 2, 2.064 Å, 43.9 deg, intensity 17.3

=====

# HfMg6CuO8
Theoretical XRD peak list, Cu Ka. Input: a cell relaxed with GGA-PBE.

Crystal structure
a b c (Å): 4.308 4.308 9.093
angles (deg): 90.00 90.00 90.00
Space group P4/mmm (No. 123)
Unique sites:
Hf 0.000 0.000 0.000 [1 per cell]
Mg 0.000 0.500 0.272 [4 per cell]
Mg 0.500 0.500 0.000 [1 per cell]
Mg 0.500 0.500 0.500 [1 per cell]
Cu 0.000 0.000 0.500 [1 per cell]
O 0.000 0.000 0.227 [2 per cell]
O 0.000 0.500 0.000 [2 per cell]
O 0.000 0.500 0.500 [2 per cell]
O 0.500 0.500 0.252 [2 per cell]

Largest 10 diffraction maxima, sorted by position, 10° ≤ 2θ ≤ 80°:
hkl 0 0 2, 4.547 Å, 19.5 deg, intensity 50.2
hkl 1 0 0, 4.308 Å, 20.6 deg, intensity 83.7
hkl 1 0 1, 3.893 Å, 22.8 deg, intensity 43.8
hkl 1 0 2, 3.127 Å, 28.5 deg, intensity 77.6
hkl 1 1 0, 3.046 Å, 29.3 deg, intensity 35.7
hkl 1 1 2, 2.531 Å, 35.5 deg, intensity 80.9
hkl 0 0 4, 2.273 Å, 39.6 deg, intensity 54.8
hkl 2 0 0, 2.154 Å, 41.9 deg, intensity 100.0
hkl 2 1 2, 1.774 Å, 51.5 deg, intensity 30.5
hkl 2 0 4, 1.563 Å, 59.1 deg, intensity 70.7

=====

# Pb
Theoretical XRD peak list, Cu Ka. Input: a cell relaxed with GGA-PBE.

Crystal structure
a b c (Å): 7.073 7.073 7.073
angles (deg): 90.00 90.00 90.00
Space group Fd-3m (No. 227, origin choice 2)
Unique sites:
Pb 0.125 0.125 0.125 [8 per cell]

Largest 8 diffraction maxima, sorted by position, 10° ≤ 2θ ≤ 80°:
hkl 1 1 1, 4.084 Å, 21.8 deg, intensity 100.0
hkl 2 2 0, 2.501 Å, 35.9 deg, intensity 86.8
hkl 3 1 1, 2.133 Å, 42.4 deg, intensity 55.4
hkl 4 0 0, 1.768 Å, 51.7 deg, intensity 15.7
hkl 3 3 1, 1.623 Å, 56.7 deg, intensity 23.9
hkl 4 2 2, 1.444 Å, 64.5 deg, intensity 32.7
hkl 5 1 1, 1.361 Å, 69.0 deg, intensity 18.1
hkl 4 4 0, 1.250 Å, 76.1 deg, intensity 10.4

=====

# LiSnN
Theoretical XRD peak list, Cu Ka. Input: a cell relaxed with GGA-PBE.

Crystal structure
a b c (Å): 3.6388 3.6388 4.2329
angles (deg): 90.00 90.00 120.00
Space group P-6m2 (No. 187)
Unique sites:
Li 0.0000 0.0000 0.0000 [1 per cell]
Sn 0.6667 0.3333 0.5000 [1 per cell]
N 0.6667 0.3333 0.0000 [1 per cell]

Largest 10 diffraction maxima, sorted by position, 10° ≤ 2θ ≤ 80°:
hkl 0 0 1, 4.233 Å, 21.0 deg, intensity 38.8
hkl 1 0 0, 3.151 Å, 28.3 deg, intensity 100.0
hkl 1 0 1, 2.528 Å, 35.5 deg, intensity 76.5
hkl 1 1 0, 1.819 Å, 50.1 deg, intensity 22.8
hkl 1 0 2, 1.757 Å, 52.1 deg, intensity 36.4
hkl 1 1 1, 1.672 Å, 54.9 deg, intensity 20.6
hkl 2 0 0, 1.576 Å, 58.6 deg, intensity 12.8
hkl 2 0 1, 1.477 Å, 62.9 deg, intensity 16.2
hkl 1 1 2, 1.380 Å, 67.9 deg, intensity 18.5
hkl 2 0 2, 1.264 Å, 75.2 deg, intensity 12.6

=====

# Lu8In3Co
Theoretical XRD peak list, Cu Ka. Input: a cell relaxed with GGA-PBE.

Crystal structure
a b c (Å): 10.1502 10.1502 6.8495
angles (deg): 90.00 90.00 120.00
Space group P6_3mc (No. 186)
Unique sites:
Lu 0.0000 0.0000 0.2739 [2 per cell]
Lu 0.0668 0.5334 0.2921 [6 per cell]
Lu 0.1789 0.3578 0.0000 [6 per cell]
Lu 0.3333 0.6667 0.6781 [2 per cell]
In 0.1635 0.3270 0.5381 [6 per cell]
Co 0.3333 0.6667 0.0635 [2 per cell]

Largest 10 diffraction maxima, sorted by position, 10° ≤ 2θ ≤ 80°:
hkl 2 1 1, 2.989 Å, 29.9 deg, intensity 30.1
hkl 1 1 2, 2.839 Å, 31.5 deg, intensity 16.7
hkl 2 0 2, 2.700 Å, 33.2 deg, intensity 100.0
hkl 2 2 0, 2.538 Å, 35.4 deg, intensity 79.0
hkl 4 0 2, 1.849 Å, 49.3 deg, intensity 21.5
hkl 4 1 2, 1.674 Å, 54.9 deg, intensity 8.3
hkl 3 2 3, 1.511 Å, 61.3 deg, intensity 12.9
hkl 4 2 2, 1.495 Å, 62.1 deg, intensity 9.8
hkl 6 0 0, 1.465 Å, 63.5 deg, intensity 7.9
hkl 2 2 4, 1.419 Å, 65.8 deg, intensity 12.5

=====

# RuSe2
Theoretical XRD peak list, Cu Ka. Input: a cell relaxed with GGA-PBE.

Crystal structure
a b c (Å): 6.008 6.008 6.008
angles (deg): 90.00 90.00 90.00
Space group Pa-3 (No. 205)
Unique sites:
Ru 0.000 0.000 0.000 [4 per cell]
Se 0.121 0.621 0.879 [8 per cell]

Largest 10 diffraction maxima, sorted by position, 10° ≤ 2θ ≤ 80°:
hkl 1 1 1, 3.469 Å, 25.7 deg, intensity 15.8
hkl 2 0 0, 3.004 Å, 29.7 deg, intensity 56.2
hkl 2 1 0, 2.687 Å, 33.3 deg, intensity 79.1
hkl 2 1 1, 2.453 Å, 36.6 deg, intensity 64.2
hkl 2 2 0, 2.124 Å, 42.6 deg, intensity 35.7
hkl 3 1 1, 1.812 Å, 50.4 deg, intensity 100.0
hkl 3 0 2, 1.666 Å, 55.1 deg, intensity 22.4
hkl 3 2 1, 1.606 Å, 57.4 deg, intensity 34.5
hkl 4 2 0, 1.344 Å, 70.0 deg, intensity 13.1
hkl 4 2 1, 1.311 Å, 72.0 deg, intensity 16.2

=====

# Os3O
Theoretical XRD peak list, Cu Ka. Input: a cell relaxed with GGA-PBE.

Crystal structure
a b c (Å): 6.1097 6.1097 3.3681
angles (deg): 90.00 90.00 120.00
Space group P6_3/mmc (No. 194)
Unique sites:
Os 0.1842 0.3683 0.2500 [6 per cell]
O 0.3333 0.6667 0.7500 [2 per cell]

Largest 10 diffraction maxima, sorted by position, 10° ≤ 2θ ≤ 80°:
hkl 1 1 0, 3.055 Å, 29.2 deg, intensity 14.3
hkl 1 0 1, 2.841 Å, 31.5 deg, intensity 38.2
hkl 2 0 0, 2.646 Å, 33.9 deg, intensity 33.7
hkl 2 0 1, 2.081 Å, 43.5 deg, intensity 100.0
hkl 2 1 0, 2.000 Å, 45.3 deg, intensity 18.4
hkl 0 0 2, 1.684 Å, 54.5 deg, intensity 12.7
hkl 3 0 1, 1.562 Å, 59.1 deg, intensity 10.0
hkl 2 2 0, 1.527 Å, 60.6 deg, intensity 20.6
hkl 2 0 2, 1.421 Å, 65.7 deg, intensity 10.0
hkl 4 0 1, 1.231 Å, 77.5 deg, intensity 14.2